No. 1
Diffraction record for Li4TiMn2Ni3P6O24. The powder diffraction line list is calculated, not measured: it uses a GGA+U-relaxed structure and Cu Kα, 1.54184 Å.
Neutral-atom scattering factors, no anomalous dispersion.

Atomic structure:
Cell: 8.5559 8.5655 8.6146 Å, 118.80 91.01 119.30°
Space group P1 (No. 1)
One atom of each set of equivalent atoms:
Li (0.0000, 0.0000, 0.0000)
Li (0.1158, 0.5996, 0.4598)
Li (0.3305, 0.3752, 0.7023)
Li (0.6523, 0.6934, 0.3792)
Ti (0.4250, 0.2005, 0.9458)
Mn (0.2860, 0.5445, 0.1115)
Mn (0.7561, 0.4798, 0.5939)
Ni (0.1096, 0.7887, 0.2410)
Ni (0.6254, 0.7882, 0.7506)
Ni (0.9100, 0.2008, 0.4443)
P (0.0243, 0.9706, 0.6345)
P (0.2254, 0.6994, 0.8464)
P (0.3008, 0.2936, 0.3382)
P (0.5242, 0.0027, 0.5492)
P (0.7065, 0.6985, 0.0612)
P (0.8280, 0.2834, 0.1354)
O (0.0263, 0.4784, 0.1786)
O (0.0296, 0.1335, 0.5996)
O (0.0498, 0.5649, 0.6718)
O (0.0929, 0.8436, 0.4983)
O (0.1525, 0.1102, 0.8468)
O (0.1614, 0.3592, 0.3906)
O (0.1681, 0.6494, 0.9926)
O (0.1875, 0.0471, 0.2234)
O (0.3095, 0.9414, 0.9254)
O (0.3737, 0.8592, 0.3537)
O (0.3784, 0.6579, 0.7977)
O (0.3944, 0.3792, 0.2122)
O (0.4517, 0.1111, 0.7078)
O (0.4682, 0.4084, 0.5166)
O (0.4902, 0.4890, 0.9770)
O (0.5559, 0.8521, 0.5716)
O (0.6625, 0.2830, 0.0555)
O (0.7039, 0.8896, 0.2120)
O (0.7073, 0.1967, 0.5718)
O (0.7527, 0.7019, 0.8866)
O (0.8124, 0.0777, 0.9910)
O (0.8130, 0.3152, 0.3265)
O (0.8239, 0.7910, 0.6145)
O (0.8357, 0.6727, 0.1539)

Largest 10 diffraction maxima, sorted by position, 2θ = 10–80°:
two_theta, I (rel.), h k l
20.5, 100, 1 0 1
20.6, 54, 0 1 -2
24.2, 59, 0 2 -1
24.5, 63, 2 -1 1
32.3, 39, -1 2 1
32.5, 37, -2 1 2
32.8, 39, 1 -3 1
33.3, 47, 2 -3 2
35.8, 38, 2 1 0
36.0, 32, 1 -1 3

***

No. 2
Diffraction record for Li4Mn3Ni2Sb3O16. The powder diffraction line list is calculated, not measured: it uses a GGA+U-relaxed structure and Cu Kα, 1.54184 Å.
Neutral-atom scattering factors, no anomalous dispersion.

Atomic structure:
Cell: 10.8493 6.0125 9.7837 Å, 90.00 91.80 90.00°
Space group Cm (No. 8)
One atom of each set of equivalent atoms:
Li (0.0000, 0.0000, 0.0000)
Li (0.0327, 0.0000, 0.5208)
Li (0.1778, 0.5000, 0.1076)
Li (0.3453, 0.0000, 0.6344)
Mn (0.0860, 0.2529, 0.7946)
Mn (0.1780, 0.0000, 0.2911)
Ni (0.1664, 0.5000, 0.5311)
Ni (0.3253, 0.0000, 0.9984)
Sb (0.3299, 0.5000, 0.7892)
Sb (0.4255, 0.2471, 0.2937)
O (0.0269, 0.5000, 0.6785)
O (0.0886, 0.2351, 0.3978)
O (0.1526, 0.0000, 0.9053)
O (0.1717, 0.5000, 0.9021)
O (0.2497, 0.2756, 0.6634)
O (0.2673, 0.2245, 0.1836)
O (0.3609, 0.0000, 0.4128)
O (0.3616, 0.5000, 0.4087)
O (0.4084, 0.2633, 0.9085)
O (0.4909, 0.0000, 0.1737)
O (0.4948, 0.5000, 0.1838)
O (0.4969, 0.5000, 0.6980)

Largest 10 diffraction maxima, sorted by position, 2θ = 10–80°:
two_theta, I (rel.), h k l
18.1, 100, 0 0 2
18.5, 38, 2 0 -1
19.0, 50, 1 1 -1
19.3, 25, 1 1 1
34.1, 36, 4 0 -1
34.6, 42, 4 0 1
35.2, 25, 2 2 -1
35.5, 28, 2 2 1
43.9, 27, 2 2 -3
59.7, 28, 6 2 0

***

No. 3
Diffraction record for Li4Mn3V3Ni2O16. The powder diffraction line list is calculated, not measured: it uses a GGA+U-relaxed structure and Cu Kα, 1.54184 Å.
Neutral-atom scattering factors, no anomalous dispersion.

Atomic structure:
Cell: 10.1835 5.8246 9.6514 Å, 90.00 90.02 90.00°
Space group Cm (No. 8)
One atom of each set of equivalent atoms:
Li (0.0000, 0.0000, 0.0000)
Li (0.0096, 0.0000, 0.4988)
Li (0.1682, 0.5000, 0.8922)
Li (0.3326, 0.0000, 0.3906)
Mn (0.0849, 0.2532, 0.2165)
Mn (0.1729, 0.0000, 0.7171)
V (0.3322, 0.5000, 0.2139)
V (0.4200, 0.2471, 0.7155)
Ni (0.1679, 0.5000, 0.4887)
Ni (0.3313, 0.0000, 0.9919)
O (0.0037, 0.0000, 0.3142)
O (0.0079, 0.0000, 0.8151)
O (0.0187, 0.5000, 0.3327)
O (0.0833, 0.2397, 0.6083)
O (0.1570, 0.0000, 0.1070)
O (0.1628, 0.5000, 0.1079)
O (0.2411, 0.2746, 0.3293)
O (0.2617, 0.2236, 0.8328)
O (0.3321, 0.0000, 0.6071)
O (0.3474, 0.5000, 0.6073)
O (0.4191, 0.2608, 0.1095)
O (0.4839, 0.0000, 0.8299)

Largest 10 diffraction maxima, sorted by position, 2θ = 10–80°:
two_theta, I (rel.), h k l
18.4, 86, 0 0 2
19.7, 50, 2 0 -1
19.8, 100, 1 1 -1
25.5, 51, 2 0 -2
33.0, 57, 1 1 -3
35.8, 61, 3 1 2
36.8, 42, 2 2 -1
45.6, 54, 2 2 3
60.3, 46, 2 2 -5
63.4, 39, 6 2 0

***

No. 4
Diffraction record for Li4Mn3Ni3W2O16. The powder diffraction line list is calculated, not measured: it uses a GGA+U-relaxed structure and Cu Kα, 1.54184 Å.
Neutral-atom scattering factors, no anomalous dispersion.

Atomic structure:
Cell: 10.4205 5.8774 9.7478 Å, 90.00 91.14 90.00°
Space group Cm (No. 8)
One atom of each set of equivalent atoms:
Li (0.0000, 0.0000, 0.0000)
Li (0.0153, 0.0000, 0.4945)
Li (0.1700, 0.5000, 0.9218)
Li (0.3524, 0.0000, 0.4132)
Mn (0.3369, 0.5000, 0.2241)
Mn (0.4244, 0.2476, 0.7237)
Ni (0.0910, 0.2546, 0.2201)
Ni (0.1823, 0.0000, 0.7221)
W (0.1777, 0.5000, 0.4910)
W (0.3257, 0.0000, 0.9973)
O (0.0018, 0.0000, 0.3091)
O (0.0088, 0.0000, 0.8110)
O (0.0353, 0.5000, 0.3648)
O (0.1120, 0.2541, 0.5905)
O (0.1742, 0.0000, 0.0961)
O (0.1810, 0.5000, 0.1220)
O (0.2643, 0.2245, 0.8657)
O (0.2636, 0.2863, 0.3522)
O (0.3497, 0.5000, 0.5999)
O (0.3521, 0.0000, 0.6207)
O (0.4132, 0.2465, 0.1014)
O (0.4848, 0.0000, 0.8557)

Largest 10 diffraction maxima, sorted by position, 2θ = 10–80°:
two_theta, I (rel.), h k l
19.2, 29, 2 0 -1
19.5, 100, 1 1 -1
19.7, 70, 1 1 1
25.3, 32, 2 0 2
32.5, 26, 1 1 -3
32.8, 34, 2 0 3
34.9, 30, 3 1 -2
35.5, 44, 3 1 2
35.7, 29, 0 2 2
62.1, 21, 6 2 0

***

No. 5
Diffraction record for Li4Mn3O7. The powder diffraction line list is calculated, not measured: it uses a GGA+U-relaxed structure and Cu Kα, 1.54184 Å.
Neutral-atom scattering factors, no anomalous dispersion.

Atomic structure:
Cell: 6.5045 6.5223 6.9834 Å, 73.70 71.14 72.11°
Space group P-1 (No. 2)
One atom of each set of equivalent atoms:
Li (0.0000, 0.0000, 0.0000)
Li (0.0608, 0.7911, 0.6567)
Li (0.2032, 0.3587, 0.9179)
Li (0.3582, 0.9196, 0.2319)
Li (0.5000, 0.5000, 0.5000)
Mn (0.1413, 0.5787, 0.2782)
Mn (0.2834, 0.1396, 0.5783)
Mn (0.4208, 0.7148, 0.8535)
O (0.0235, 0.8776, 0.3324)
O (0.1250, 0.6746, 0.9575)
O (0.1732, 0.4387, 0.6170)
O (0.2608, 0.2549, 0.2806)
O (0.3232, 0.0314, 0.8547)
O (0.4012, 0.8416, 0.5250)
O (0.4521, 0.5979, 0.1837)

Largest 10 diffraction maxima, sorted by position, 2θ = 10–80°:
two_theta, I (rel.), h k l
18.2, 100, 1 1 1
33.9, 16, 0 1 -2
36.2, 23, 1 -2 0
40.6, 34, 1 0 3
44.1, 27, 0 3 1
44.3, 26, 3 1 0
61.3, 8, 1 3 4
61.4, 8, 2 1 -3
61.6, 8, 1 -3 2
61.9, 8, 4 1 3

***

No. 6
Diffraction record for Li4Mn3O7. The powder diffraction line list is calculated, not measured: it uses a GGA+U-relaxed structure and Cu Kα, 1.54184 Å.
Neutral-atom scattering factors, no anomalous dispersion.

Atomic structure:
Cell: 5.3217 7.6574 7.7462 Å, 116.10 105.40 97.69°
Space group P-1 (No. 2)
One atom of each set of equivalent atoms:
Li (0.0000, 0.0000, 0.0000)
Li (0.0000, 0.5000, 0.5000)
Li (0.1391, 0.4283, 0.1565)
Li (0.3031, 0.8574, 0.2952)
Li (0.4716, 0.3001, 0.4522)
Mn (0.1500, 0.9247, 0.6416)
Mn (0.2772, 0.3595, 0.7798)
Mn (0.4233, 0.7843, 0.9235)
O (0.0622, 0.7632, 0.7657)
O (0.1415, 0.6936, 0.4016)
O (0.1969, 0.1820, 0.8976)
O (0.2810, 0.6079, 0.0127)
O (0.2821, 0.1139, 0.5485)
O (0.4215, 0.0317, 0.1579)
O (0.4391, 0.5450, 0.6990)

Largest 10 diffraction maxima, sorted by position, 2θ = 10–80°:
two_theta, I (rel.), h k l
13.6, 8, 0 0 1
18.3, 100, 1 0 -1
33.7, 17, 1 -1 2
36.3, 24, 0 3 -2
40.3, 35, 2 -1 1
44.2, 27, 1 3 -3
44.5, 27, -1 2 2
61.2, 8, 1 1 3
61.3, 8, 3 2 -2
61.4, 8, 1 -4 4

***

No. 7
Diffraction record for Li13Mn8O24. The powder diffraction line list is calculated, not measured: it uses a GGA+U-relaxed structure and Cu Kα, 1.54184 Å.
Neutral-atom scattering factors, no anomalous dispersion.

Atomic structure:
Cell: 5.0137 8.6255 19.2954 Å, 90.00 95.80 90.00°
Space group C2 (No. 5)
One atom of each set of equivalent atoms:
Li (0.0000, 0.0000, 0.0000)
Li (0.0000, 0.1417, 0.5000)
Li (0.0000, 0.3389, 0.0000)
Li (0.0000, 0.4915, 0.5000)
Li (0.0000, 0.8413, 0.5000)
Li (0.1238, 0.4958, 0.8752)
Li (0.2410, 0.9920, 0.7477)
Li (0.2431, 0.1466, 0.2515)
Li (0.2428, 0.8357, 0.2514)
Mn (0.1249, 0.3241, 0.3756)
Mn (0.1249, 0.6589, 0.3756)
Mn (0.1285, 0.8230, 0.8742)
Mn (0.1321, 0.1583, 0.8746)
O (0.0239, 0.4914, 0.6824)
O (0.0355, 0.9914, 0.1835)
O (0.0702, 0.6683, 0.1823)
O (0.0714, 0.3126, 0.1821)
O (0.0824, 0.1772, 0.6815)
O (0.0824, 0.8058, 0.6816)
O (0.1637, 0.1716, 0.0711)
O (0.1668, 0.3057, 0.5673)
O (0.1668, 0.6773, 0.5673)
O (0.1756, 0.8174, 0.0726)
O (0.2146, 0.4881, 0.0704)
O (0.2252, 0.9915, 0.5661)

Largest 10 diffraction maxima, sorted by position, 2θ = 10–80°:
two_theta, I (rel.), h k l
18.5, 100, 0 0 4
20.6, 23, 0 2 0
21.5, 41, 1 1 1
23.8, 28, 1 1 -3
27.8, 19, 0 2 4
36.6, 23, 1 3 1
43.7, 36, 2 0 -6
44.3, 66, 1 3 5
63.5, 17, 1 3 -11
64.5, 16, 3 3 -1

***

No. 8
Diffraction record for Li13Mn8O24. The powder diffraction line list is calculated, not measured: it uses a GGA+U-relaxed structure and Cu Kα, 1.54184 Å.
Neutral-atom scattering factors, no anomalous dispersion.

Atomic structure:
Cell: 4.9883 8.6482 10.1793 Å, 72.90 80.15 89.72°
Space group P-1 (No. 2)
One atom of each set of equivalent atoms:
Li (0.0000, 0.0000, 0.0000)
Li (0.2234, 0.9217, 0.7446)
Li (0.2417, 0.9259, 0.2535)
Li (0.2463, 0.2503, 0.2474)
Li (0.2531, 0.2571, 0.7439)
Li (0.2677, 0.5775, 0.2471)
Li (0.2795, 0.5765, 0.7522)
Mn (0.0019, 0.6642, 0.0001)
Mn (0.0055, 0.6660, 0.5011)
Mn (0.4964, 0.1670, 0.4989)
Mn (0.4994, 0.8313, 0.0000)
O (0.0885, 0.4592, 0.6145)
O (0.0899, 0.4603, 0.1150)
O (0.1395, 0.1403, 0.1148)
O (0.1422, 0.1460, 0.6153)
O (0.1423, 0.7816, 0.1119)
O (0.1504, 0.7740, 0.6160)
O (0.3497, 0.3537, 0.3818)
O (0.3540, 0.3550, 0.8832)
O (0.3559, 0.7233, 0.8856)
O (0.3577, 0.7242, 0.3868)
O (0.3956, 0.0381, 0.8889)
O (0.4109, 0.0381, 0.3852)

Largest 10 diffraction maxima, sorted by position, 2θ = 10–80°:
two_theta, I (rel.), h k l
18.5, 100, 0 0 2
20.6, 28, 1 -1 0
21.5, 47, 0 2 0
23.9, 33, 0 2 2
27.8, 21, 1 -1 2
36.4, 12, 1 3 2
36.6, 25, 2 0 0
43.9, 39, 1 3 4
44.4, 72, 2 0 -2
63.7, 19, -1 3 6